# 1
This entry pairs a crystal structure of Li2SmEr2Mg5 with its calculated XRD peak list. Radiation: Cu Kα (weighted mean of Kα1 and Kα2). Structure: a PBE-relaxed structure.
Lines closer than 0.1° are merged.

Crystal structure
```
data_Li2SmEr2Mg5
_cell_length_a 10.555
_cell_length_b 10.555
_cell_length_c 4.432
_cell_angle_alpha 90.00
_cell_angle_beta 90.00
_cell_angle_gamma 90.00
_symmetry_space_group_name_H-M 'P 4/m b m'
_symmetry_Int_Tables_number 127
_symmetry_space_group_name_Hall '-P 4 2ab'
loop_
_atom_site_label
_atom_site_type_symbol
_atom_site_fract_x
_atom_site_fract_y
_atom_site_fract_z
_atom_site_occupancy
Li1 Li 0.114 0.386 0.000 1
Sm1 Sm 0.000 0.000 0.000 1
Er1 Er 0.180 0.680 0.000 1
Mg1 Mg 0.000 0.500 0.500 1
Mg2 Mg 0.064 0.216 0.500 1
```

Most intense lines, 2θ from 10° to 80°, low angle first:
d [Å]	2θ (°)	I (rel.)
4.720	18.8	683
4.432	20.0	500
3.732	23.8	305
3.338	26.7	449
3.231	27.6	912
2.855	31.3	542
2.666	33.6	1000
2.560	35.1	500
2.216	40.7	514
1.676	54.8	622



# 2
This entry pairs a crystal structure of PaTe2I6 with its calculated XRD peak list. Radiation: Cu Kα (weighted mean of Kα1 and Kα2). Structure: a PBE-relaxed structure.
Lines closer than 0.1° are merged.

Crystal structure
```
data_PaTe2I6
_cell_length_a 9.2831
_cell_length_b 9.2831
_cell_length_c 21.0947
_cell_angle_alpha 90.00
_cell_angle_beta 90.00
_cell_angle_gamma 120.00
_symmetry_space_group_name_H-M 'R 3'
_symmetry_Int_Tables_number 146
_symmetry_space_group_name_Hall 'R 3'
loop_
_atom_site_label
_atom_site_type_symbol
_atom_site_fract_x
_atom_site_fract_y
_atom_site_fract_z
_atom_site_occupancy
Pa1 Pa 0.0000 0.0000 0.0000 1
Te1 Te 0.0000 0.0000 0.2144 1
Te2 Te 0.0000 0.0000 0.3369 1
I1 I 0.0391 0.5140 0.7556 1
I2 I 0.1769 0.8132 0.5918 1
```

Most intense lines, 2θ from 10° to 80°, low angle first:
d [Å]	2θ (°)	I (rel.)
7.512	11.8	1000
6.394	13.9	468
3.874	23.0	238
3.756	23.7	651
3.197	27.9	849
2.803	31.9	436
2.466	36.4	237
2.321	38.8	491
2.205	40.9	298
2.131	42.4	237